Record 1
For TlV2Cr3S8, the PBE geometry in Alexandria gives the computed powder diffraction line list in this record (λ = 1.5418 Å (Cu Kα)).
Intensities are scaled so that the largest is 1000.

The 10 most intense peaks (15 to 90 degrees two-theta), by angle:
d/Å  I_rel
4.250  844
4.214  902
3.485  466
2.662  481
2.646  1000
2.542  584
2.162  698
1.933  433
1.914  454
1.681  488

Cell and atoms:
```
14
Lattice="8.7248 -1.6862 0.0000 8.7248 1.6862 0.0000 -2.0710 0.0000 8.5097" Properties=species:S:1:pos:R:3 pbc="T T T"
Tl 0.0000 0.0000 0.0000
V 7.3834 0.0000 4.1944
V 13.7329 0.0000 4.3257
Cr 1.5999 0.0000 4.0055
Cr 1.7140 0.0000 7.0243
Cr 13.3989 0.0000 1.3774
S -0.2060 0.0000 5.5207
S 3.7635 0.0000 2.9232
S 5.5958 0.0000 0.0240
S 5.6749 0.0000 5.8001
S 9.3982 0.0000 2.7317
S 9.5049 0.0000 8.3653
S 11.4521 0.0000 5.4780
S 15.3653 0.0000 2.7198
```

***

Record 2
For TiHg2As2, the PBE geometry in Alexandria gives the computed powder diffraction line list in this record (λ = 1.5418 Å (Cu Kα)).
Intensities are scaled so that the largest is 1000.

The 10 most intense peaks (15 to 90 degrees two-theta), by angle:
d/Å  I_rel
5.316  245
3.293  568
2.946  357
2.800  1000
2.658  469
2.329  311
2.133  283
2.068  326
1.973  228
1.752  262

Cell and atoms:
```
10
Lattice="6.5870 0.0000 0.0000 0.0000 6.5870 0.0000 0.0000 0.0000 5.3160" Properties=species:S:1:pos:R:3 pbc="T T T"
Ti 0.0000 0.0000 0.0000
Ti 3.2935 3.2935 0.0000
Hg 1.4943 1.7991 2.6580
Hg 1.7991 5.0926 2.6580
Hg 4.7878 1.4943 2.6580
Hg 5.0926 4.7878 2.6580
As 0.8930 2.4005 0.0000
As 2.4005 5.6940 0.0000
As 4.1865 0.8930 0.0000
As 5.6940 4.1865 0.0000
```

***

Record 3
For CaCrGa, the PBE geometry in Alexandria gives the computed powder diffraction line list in this record (λ = 1.5418 Å (Cu Kα)).
Intensities are scaled so that the largest is 1000.

The 10 most intense peaks (15 to 90 degrees two-theta), by angle:
d/Å  I_rel
3.475  389
2.667  899
2.511  177
2.225  534
2.098  591
2.021  1000
1.978  439
1.611  173
1.601  215
1.255  221

Cell and atoms:
```
6
Lattice="2.0211 1.1669 9.6063 -2.0211 1.1669 9.6063 0.0000 -2.3338 9.6063" Properties=species:S:1:pos:R:3 pbc="T T T"
Ca 0.0000 0.0000 6.4334
Ca 0.0000 0.0000 22.3856
Cr 0.0000 0.0000 9.7596
Cr 0.0000 0.0000 19.0594
Ga 0.0000 0.0000 1.2944
Ga 0.0000 0.0000 27.5246
```